# K2YAs2S6
Theoretical X-ray diffraction stick pattern, Cu Kα X-rays. Input: a crystal structure in Alexandria, relaxed with PBE.
Neutral-atom scattering factors, no anomalous dispersion.

Top 10 peaks for 10 to 80 degrees two-theta, by angle:
2θ (°)	intensity
16.63	657
17.04	564
24.86	1000
25.02	438
25.99	917
35.71	366
36.42	350
41.22	309
44.68	319
45.15	349

Structure:
Lattice parameters (Å, degrees): 6.8637 6.8637 8.3487 113.30 113.30 62.47
Fractional positions:
K (0.1996, 0.1996, 0.1746)
K (0.8004, 0.8004, 0.8254)
Y (0.0000, 0.0000, 0.5000)
As (0.4514, 0.4514, 0.8067)
As (0.5486, 0.5486, 0.1933)
S (0.1897, 0.6987, 0.2142)
S (0.2506, 0.2506, 0.5844)
S (0.3013, 0.8103, 0.7857)
S (0.6987, 0.1897, 0.2142)
S (0.7494, 0.7494, 0.4156)
S (0.8103, 0.3013, 0.7857)